# Cu2AgOsO6
Calculated PXRD pattern, copper Kα. Input: a DFT-relaxed cell (PBE, Alexandria).

Crystal structure
abc: 7.684 7.684 6.749
angles: 110.66 110.66 111.92
Atoms (fractional coordinates):
Cu1 0.107 0.618 0.769
Cu2 0.382 0.893 0.731
Cu3 0.618 0.107 0.269
Cu4 0.893 0.382 0.231
Ag1 0.462 0.538 0.750
Ag2 0.538 0.462 0.250
Os1 0.007 0.993 0.250
Os2 0.993 0.007 0.750
O1 0.083 0.897 0.938
O2 0.103 0.917 0.562
O3 0.178 0.306 0.938
O4 0.198 0.581 0.496
O5 0.306 0.178 0.438
O6 0.419 0.802 0.004
O7 0.581 0.198 0.996
O8 0.694 0.822 0.562
O9 0.802 0.419 0.504
O10 0.822 0.694 0.062
O11 0.897 0.083 0.438
O12 0.917 0.103 0.062

Most intense lines, 2θ from 10° to 80°, in order of rising 2θ:
13.91 deg, 6.367 Å, I 64; 14.98 deg, 5.914 Å, I 43; 15.08 deg, 5.873 Å, I 53; 26.70 deg, 3.339 Å, I 45; 26.94 deg, 3.310 Å, I 30; 28.03 deg, 3.184 Å, I 66; 30.23 deg, 2.957 Å, I 69; 30.44 deg, 2.937 Å, I 100; 34.23 deg, 2.619 Å, I 36; 44.47 deg, 2.037 Å, I 35; 44.81 deg, 2.023 Å, I 43; 57.04 deg, 1.615 Å, I 32